(1)
Computed X-ray diffraction stick pattern of Pm6CoPb2 for Cu Kα X-rays, from a PBE-relaxed structure.

Most intense lines, 2θ from 10° to 90°, by angle:
| d (Å) | 2θ (°) | intensity |
| --- | --- | --- |
| 2.953 | 30.3 | 79 |
| 2.896 | 30.9 | 100 |
| 2.715 | 33.0 | 68 |
| 2.604 | 34.4 | 42 |
| 2.326 | 38.7 | 40 |
| 1.889 | 48.2 | 18 |
| 1.879 | 48.4 | 17 |
| 1.705 | 53.8 | 16 |
| 1.619 | 56.9 | 30 |
| 1.591 | 58.0 | 25 |
| 1.554 | 59.5 | 28 |
| 1.529 | 60.6 | 17 |

Atomic structure:
```
data_Pm6CoPb2
_chemical_formula_sum 'Pm6 Co1 Pb2'
_symmetry_space_group_name_H-M 'P 1'
_symmetry_Int_Tables_number 1
_cell_length_a 3.7776
_cell_length_b 9.0197
_cell_length_c 9.0197
_cell_angle_alpha 119.98
_cell_angle_beta 90.00
_cell_angle_gamma 90.00
loop_
_symmetry_equiv_pos_as_xyz
'x,y,z'
loop_
_atom_site_label
_atom_site_type_symbol
_atom_site_fract_x
_atom_site_fract_y
_atom_site_fract_z
_atom_site_occupancy
Pm1 Pm 0.0000 0.0000 0.0000 1
Pm2 Pm 0.0000 0.5381 0.7688 1
Pm3 Pm 0.0000 0.7688 0.5381 1
Pm4 Pm 0.5000 0.1685 0.7690 1
Pm5 Pm 0.5000 0.3687 0.3687 1
Pm6 Pm 0.5000 0.7690 0.1685 1
Co1 Co 0.5000 0.7696 0.7696 1
Pb1 Pb 0.0000 0.1021 0.4358 1
Pb2 Pb 0.0000 0.4358 0.1021 1
```

=====

(2)
Computed X-ray diffraction stick pattern of Sc2CoPb2 for Cu Kα X-rays, from a PBE-relaxed structure.

Most intense lines, 2θ from 10° to 90°, by angle:
| d (Å) | 2θ (°) | intensity |
| --- | --- | --- |
| 4.959 | 17.9 | 8 |
| 4.486 | 19.8 | 49 |
| 3.136 | 28.5 | 35 |
| 2.571 | 34.9 | 100 |
| 2.243 | 40.2 | 18 |
| 2.218 | 40.7 | 25 |
| 1.988 | 45.6 | 19 |
| 1.825 | 50.0 | 16 |
| 1.591 | 58.0 | 12 |
| 1.577 | 58.5 | 17 |
| 1.350 | 69.7 | 14 |
| 1.251 | 76.1 | 15 |

Atomic structure:
```
data_Sc2CoPb2
_chemical_formula_sum 'Sc4 Co2 Pb4'
_symmetry_space_group_name_H-M 'P 1'
_symmetry_Int_Tables_number 1
_cell_length_a 7.0134
_cell_length_b 7.0134
_cell_length_c 4.4863
_cell_angle_alpha 90.00
_cell_angle_beta 90.00
_cell_angle_gamma 90.00
loop_
_symmetry_equiv_pos_as_xyz
'x,y,z'
loop_
_atom_site_label
_atom_site_type_symbol
_atom_site_fract_x
_atom_site_fract_y
_atom_site_fract_z
_atom_site_occupancy
Sc1 Sc 0.1633 0.3367 0.0000 1
Sc2 Sc 0.3367 0.8367 0.0000 1
Sc3 Sc 0.6633 0.1633 0.0000 1
Sc4 Sc 0.8367 0.6633 0.0000 1
Co1 Co 0.0000 0.0000 0.5000 1
Co2 Co 0.5000 0.5000 0.5000 1
Pb1 Pb 0.1521 0.6521 0.5000 1
Pb2 Pb 0.3479 0.1521 0.5000 1
Pb3 Pb 0.6521 0.8479 0.5000 1
Pb4 Pb 0.8479 0.3479 0.5000 1
```

=====

(3)
Computed X-ray diffraction stick pattern of Sc12Co6Pb for Cu Kα X-rays, from a PBE-relaxed structure.

Most intense lines, 2θ from 10° to 90°, by angle:
| d (Å) | 2θ (°) | intensity |
| --- | --- | --- |
| 4.505 | 19.7 | 45 |
| 3.678 | 24.2 | 28 |
| 3.185 | 28.0 | 9 |
| 2.601 | 34.5 | 42 |
| 2.408 | 37.3 | 100 |
| 2.252 | 40.0 | 24 |
| 2.124 | 42.6 | 21 |
| 1.767 | 51.7 | 45 |
| 1.545 | 59.9 | 15 |
| 1.462 | 63.7 | 23 |
| 1.390 | 67.4 | 13 |
| 1.274 | 74.5 | 19 |

Atomic structure:
```
data_Sc12Co6Pb
_chemical_formula_sum 'Sc12 Co6 Pb1'
_symmetry_space_group_name_H-M 'P 1'
_symmetry_Int_Tables_number 1
_cell_length_a 7.8028
_cell_length_b 7.8028
_cell_length_c 7.8028
_cell_angle_alpha 109.47
_cell_angle_beta 109.47
_cell_angle_gamma 109.47
loop_
_symmetry_equiv_pos_as_xyz
'x,y,z'
loop_
_atom_site_label
_atom_site_type_symbol
_atom_site_fract_x
_atom_site_fract_y
_atom_site_fract_z
_atom_site_occupancy
Sc1 Sc 0.0989 0.2982 0.8007 1
Sc2 Sc 0.1993 0.4975 0.2982 1
Sc3 Sc 0.1993 0.9011 0.7018 1
Sc4 Sc 0.2982 0.1993 0.4975 1
Sc5 Sc 0.2982 0.8007 0.0989 1
Sc6 Sc 0.4975 0.2982 0.1993 1
Sc7 Sc 0.5025 0.7018 0.8007 1
Sc8 Sc 0.7018 0.1993 0.9011 1
Sc9 Sc 0.7018 0.8007 0.5025 1
Sc10 Sc 0.8007 0.0989 0.2982 1
Sc11 Sc 0.8007 0.5025 0.7018 1
Sc12 Sc 0.9011 0.7018 0.1993 1
Co1 Co 0.1197 0.5000 0.6197 1
Co2 Co 0.3803 0.8803 0.5000 1
Co3 Co 0.5000 0.3803 0.8803 1
Co4 Co 0.5000 0.6197 0.1197 1
Co5 Co 0.6197 0.1197 0.5000 1
Co6 Co 0.8803 0.5000 0.3803 1
Pb1 Pb 0.0000 0.0000 0.0000 1
```

=====

(4)
Computed X-ray diffraction stick pattern of SrCo2Pb for Cu Kα X-rays, from a PBE-relaxed structure.

Most intense lines, 2θ from 10° to 90°, by angle:
| d (Å) | 2θ (°) | intensity |
| --- | --- | --- |
| 5.033 | 17.6 | 22 |
| 3.981 | 22.3 | 24 |
| 3.126 | 28.6 | 36 |
| 2.816 | 31.8 | 100 |
| 2.652 | 33.8 | 63 |
| 2.208 | 40.9 | 40 |
| 2.164 | 41.7 | 26 |
| 2.128 | 42.5 | 21 |
| 1.994 | 45.5 | 20 |
| 1.780 | 51.3 | 19 |
| 1.594 | 57.9 | 27 |
| 1.258 | 75.6 | 18 |

Atomic structure:
```
data_SrCo2Pb
_chemical_formula_sum 'Sr1 Co2 Pb1'
_symmetry_space_group_name_H-M 'P 1'
_symmetry_Int_Tables_number 1
_cell_length_a 3.9877
_cell_length_b 5.4791
_cell_length_c 5.4791
_cell_angle_alpha 46.54
_cell_angle_beta 90.00
_cell_angle_gamma 90.00
loop_
_symmetry_equiv_pos_as_xyz
'x,y,z'
loop_
_atom_site_label
_atom_site_type_symbol
_atom_site_fract_x
_atom_site_fract_y
_atom_site_fract_z
_atom_site_occupancy
Sr1 Sr 0.0000 0.0000 0.0000 1
Co1 Co 0.0000 0.2884 0.2884 1
Co2 Co 0.5000 0.3914 0.3914 1
Pb1 Pb 0.5000 0.7077 0.7077 1
```

=====

(5)
Computed X-ray diffraction stick pattern of Tb12CoPb6 for Cu Kα X-rays, from a PBE-relaxed structure.

Most intense lines, 2θ from 10° to 90°, by angle:
| d (Å) | 2θ (°) | intensity |
| --- | --- | --- |
| 5.844 | 15.2 | 16 |
| 3.708 | 24.0 | 15 |
| 3.338 | 26.7 | 41 |
| 3.023 | 29.5 | 24 |
| 2.845 | 31.4 | 77 |
| 2.685 | 33.4 | 26 |
| 2.631 | 34.1 | 18 |
| 2.542 | 35.3 | 100 |
| 2.347 | 38.3 | 15 |
| 1.654 | 55.6 | 17 |
| 1.463 | 63.6 | 16 |
| 1.389 | 67.4 | 15 |

Atomic structure:
```
data_Tb12CoPb6
_chemical_formula_sum 'Tb12 Co1 Pb6'
_symmetry_space_group_name_H-M 'P 1'
_symmetry_Int_Tables_number 1
_cell_length_a 8.4132
_cell_length_b 8.4132
_cell_length_c 8.4132
_cell_angle_alpha 91.88
_cell_angle_beta 91.88
_cell_angle_gamma 91.88
loop_
_symmetry_equiv_pos_as_xyz
'x,y,z'
loop_
_atom_site_label
_atom_site_type_symbol
_atom_site_fract_x
_atom_site_fract_y
_atom_site_fract_z
_atom_site_occupancy
Tb1 Tb 0.0419 0.9189 0.7001 1
Tb2 Tb 0.0811 0.2999 0.9581 1
Tb3 Tb 0.2031 0.4185 0.5495 1
Tb4 Tb 0.2999 0.9581 0.0811 1
Tb5 Tb 0.4185 0.5495 0.2031 1
Tb6 Tb 0.4505 0.7969 0.5815 1
Tb7 Tb 0.5495 0.2031 0.4185 1
Tb8 Tb 0.5815 0.4505 0.7969 1
Tb9 Tb 0.7001 0.0419 0.9189 1
Tb10 Tb 0.7969 0.5815 0.4505 1
Tb11 Tb 0.9189 0.7001 0.0419 1
Tb12 Tb 0.9581 0.0811 0.2999 1
Co1 Co 0.0000 0.0000 0.0000 1
Pb1 Pb 0.1330 0.7417 0.3660 1
Pb2 Pb 0.2583 0.6340 0.8670 1
Pb3 Pb 0.3660 0.1330 0.7417 1
Pb4 Pb 0.6340 0.8670 0.2583 1
Pb5 Pb 0.7417 0.3660 0.1330 1
Pb6 Pb 0.8670 0.2583 0.6340 1
```

=====

(6)
Computed X-ray diffraction stick pattern of Tb7Co2Pb for Cu Kα X-rays, from a PBE-relaxed structure.

Most intense lines, 2θ from 10° to 90°, by angle:
| d (Å) | 2θ (°) | intensity |
| --- | --- | --- |
| 4.951 | 17.9 | 26 |
| 3.319 | 26.9 | 54 |
| 3.117 | 28.6 | 100 |
| 2.784 | 32.2 | 44 |
| 2.690 | 33.3 | 67 |
| 2.510 | 35.8 | 59 |
| 2.484 | 36.2 | 40 |
| 2.476 | 36.3 | 57 |
| 1.822 | 50.1 | 43 |
| 1.753 | 52.2 | 28 |
| 1.576 | 58.6 | 26 |
| 1.537 | 60.2 | 30 |

Atomic structure:
```
data_Tb7Co2Pb
_chemical_formula_sum 'Tb7 Co2 Pb1'
_symmetry_space_group_name_H-M 'P 1'
_symmetry_Int_Tables_number 1
_cell_length_a 8.0831
_cell_length_b 8.0831
_cell_length_c 4.9511
_cell_angle_alpha 90.00
_cell_angle_beta 90.00
_cell_angle_gamma 112.81
loop_
_symmetry_equiv_pos_as_xyz
'x,y,z'
loop_
_atom_site_label
_atom_site_type_symbol
_atom_site_fract_x
_atom_site_fract_y
_atom_site_fract_z
_atom_site_occupancy
Tb1 Tb 0.0000 0.0000 0.0000 1
Tb2 Tb 0.1828 0.4475 0.0000 1
Tb3 Tb 0.2065 0.7935 0.5000 1
Tb4 Tb 0.4475 0.1828 0.0000 1
Tb5 Tb 0.5525 0.8172 0.0000 1
Tb6 Tb 0.7935 0.2065 0.5000 1
Tb7 Tb 0.8172 0.5525 0.0000 1
Co1 Co 0.2037 0.7963 0.0000 1
Co2 Co 0.7963 0.2037 0.0000 1
Pb1 Pb 0.5000 0.5000 0.5000 1
```